For V2RhPbO8, a structure optimized by DFT (PBE+U) gives the calculated powder X-ray diffraction pattern in this record (CuKα).

Cell and atoms:
a = 5.5600 Å, b = 5.5600 Å, c = 6.8369 Å
α = 90.00°, β = 90.00°, γ = 120.00°
Space group P-3 (No. 147)
Symmetry-distinct sites (fractional):
V1 0.3333 0.6667 0.2530
Rh1 0.0000 0.0000 0.0000
Pb1 0.0000 0.0000 0.5000
O1 0.1178 0.3170 0.1809
O2 0.3333 0.6667 0.4972

Most intense lines, 2θ from 10° to 80°, sorted by position:
2theta  I_rel  (hkl)
18.4  69.4  1 0 0
22.6  21.9  1 0 1
32.1  100.0  1 1 0
34.8  9.7  1 1 1
41.9  17.8  2 -1 2
46.1  27.0  0 2 2
50.1  9.5  1 2 0
57.4  32.6  3 0 0
63.9  13.6  1 1 4
76.6  9.8  3 1 2